1.
The following is a computed X-ray diffraction stick pattern of Sr3SiBr2. It was derived from the GGA-PBE geometry in Alexandria, using Cu Ka.

Principal peaks in the range 2θ from 5° to 70°, by angle:
- 27.2 deg, rel. 100.0
- 38.9 deg, rel. 46.7
- 39.1 deg, rel. 11.5
- 48.0 deg, rel. 12.2
- 48.3 deg, rel. 11.5
- 63.5 deg, rel. 16.7

Cell: 15.302 14.586 8.032 Å, 79.40 69.54 31.06°
Fractional coordinates of all 24 atoms:
Sr 0.031 0.539 0.184
Sr 0.090 0.660 0.660
Sr 0.184 0.746 0.031
Sr 0.254 0.816 0.461
Sr 0.340 0.910 0.910
Sr 0.461 0.969 0.254
Sr 0.539 0.031 0.746
Sr 0.660 0.090 0.090
Sr 0.746 0.184 0.539
Sr 0.816 0.254 0.969
Sr 0.910 0.340 0.340
Sr 0.969 0.461 0.816
Si 0.041 0.041 0.209
Si 0.209 0.209 0.041
Si 0.791 0.791 0.959
Si 0.959 0.959 0.791
Br 0.130 0.130 0.620
Br 0.298 0.298 0.452
Br 0.380 0.380 0.870
Br 0.452 0.452 0.298
Br 0.548 0.548 0.702
Br 0.620 0.620 0.130
Br 0.702 0.702 0.548
Br 0.870 0.870 0.380

***

2.
The following is a computed X-ray diffraction stick pattern of Cs4CaGe3Br12. It was derived from the GGA-PBE geometry in Alexandria, using Cu Ka.

Principal peaks in the range 2θ from 5° to 70°, by angle:
- 22.2 deg, rel. 32.8
- 27.3 deg, rel. 95.6
- 31.6 deg, rel. 100.0
- 45.4 deg, rel. 71.8
- 53.8 deg, rel. 41.9
- 56.4 deg, rel. 24.9

Cell: 9.795 9.795 9.795 Å, 109.47 109.47 109.47°
Fractional coordinates of all 20 atoms:
Cs 0.000 0.000 0.500
Cs 0.000 0.500 0.000
Cs 0.500 0.000 0.000
Cs 0.500 0.500 0.500
Ca 0.000 0.000 0.000
Ge 0.000 0.500 0.500
Ge 0.500 0.000 0.500
Ge 0.500 0.500 0.000
Br 0.000 0.254 0.254
Br 0.000 0.746 0.746
Br 0.250 0.500 0.750
Br 0.250 0.750 0.500
Br 0.254 0.000 0.254
Br 0.254 0.254 0.000
Br 0.500 0.250 0.750
Br 0.500 0.750 0.250
Br 0.746 0.000 0.746
Br 0.746 0.746 0.000
Br 0.750 0.250 0.500
Br 0.750 0.500 0.250

***

3.
The following is a computed X-ray diffraction stick pattern of KB. It was derived from the GGA-PBE geometry in Alexandria, using Cu Ka.

Principal peaks in the range 2θ from 5° to 70°, by angle:
- 10.4 deg, rel. 100.0
- 20.4 deg, rel. 70.0
- 20.8 deg, rel. 65.0
- 25.2 deg, rel. 87.3
- 30.2 deg, rel. 45.3
- 32.9 deg, rel. 88.2

Cell: 3.180 4.501 8.832 Å, 104.70 90.45 92.11°
Fractional coordinates of all 4 atoms:
K 0.000 0.000 0.000
K 0.464 0.773 0.545
B 0.474 0.389 0.777
B 0.973 0.384 0.768

***

4.
The following is a computed X-ray diffraction stick pattern of TlIn2Au6. It was derived from the GGA-PBE geometry in Alexandria, using Cu Ka.

Principal peaks in the range 2θ from 5° to 70°, by angle:
- 32.7 deg, rel. 65.5
- 33.7 deg, rel. 100.0
- 36.4 deg, rel. 31.0
- 40.3 deg, rel. 27.0
- 42.1 deg, rel. 30.2
- 43.6 deg, rel. 61.7

Cell: 10.604 10.604 4.463 Å, 91.25 91.25 49.99°
Fractional coordinates of all 18 atoms:
Tl 0.159 0.841 0.750
Tl 0.841 0.159 0.250
In 0.172 0.497 0.614
In 0.497 0.172 0.114
In 0.503 0.828 0.886
In 0.828 0.503 0.386
Au 0.013 0.216 0.736
Au 0.138 0.339 0.112
Au 0.216 0.013 0.236
Au 0.332 0.532 0.110
Au 0.339 0.138 0.612
Au 0.468 0.668 0.390
Au 0.532 0.332 0.610
Au 0.661 0.862 0.388
Au 0.668 0.468 0.890
Au 0.784 0.987 0.764
Au 0.862 0.661 0.888
Au 0.987 0.784 0.264

***

5.
The following is a computed X-ray diffraction stick pattern of La7Pm3Y. It was derived from the GGA-PBE geometry in Alexandria, using Cu Ka.

Principal peaks in the range 2θ from 5° to 70°, by angle:
- 29.8 deg, rel. 76.7
- 30.3 deg, rel. 68.5
- 30.6 deg, rel. 100.0
- 32.4 deg, rel. 53.4
- 36.4 deg, rel. 63.8
- 49.2 deg, rel. 24.1

Cell: 7.869 7.869 6.606 Å, 94.13 94.13 82.25°
Fractional coordinates of all 11 atoms:
La 0.000 0.000 0.000
La 0.072 0.430 0.266
La 0.262 0.262 0.788
La 0.430 0.072 0.266
La 0.570 0.928 0.734
La 0.738 0.738 0.212
La 0.928 0.570 0.734
Pm 0.330 0.670 0.000
Pm 0.500 0.500 0.500
Pm 0.670 0.330 0.000
Y 0.000 0.000 0.500

***

6.
The following is a computed X-ray diffraction stick pattern of Hf2MnRe2. It was derived from the GGA-PBE geometry in Alexandria, using Cu Ka.

Principal peaks in the range 2θ from 5° to 70°, by angle:
- 20.0 deg, rel. 11.5
- 37.8 deg, rel. 100.0
- 40.5 deg, rel. 25.3
- 45.6 deg, rel. 20.9
- 62.6 deg, rel. 15.5
- 64.6 deg, rel. 14.1

Cell: 6.287 6.287 4.453 Å, 90.00 90.00 90.00°
Fractional coordinates of all 10 atoms:
Hf 0.177 0.323 0.000
Hf 0.323 0.823 0.000
Hf 0.677 0.177 0.000
Hf 0.823 0.677 0.000
Mn 0.000 0.000 0.500
Mn 0.500 0.500 0.500
Re 0.143 0.643 0.500
Re 0.357 0.143 0.500
Re 0.643 0.857 0.500
Re 0.857 0.357 0.500

***

7.
The following is a computed X-ray diffraction stick pattern of RbBaCu2As2. It was derived from the GGA-PBE geometry in Alexandria, using Cu Ka.

Principal peaks in the range 2θ from 5° to 70°, by angle:
- 29.9 deg, rel. 100.0
- 34.7 deg, rel. 20.4
- 42.7 deg, rel. 36.9
- 53.0 deg, rel. 19.4
- 56.1 deg, rel. 29.6
- 59.2 deg, rel. 12.3

Cell: 4.237 4.237 10.337 Å, 90.00 90.00 120.00°
Fractional coordinates of all 6 atoms:
Rb 0.000 0.000 0.000
Ba 0.000 0.000 0.500
Cu 0.333 0.667 0.738
Cu 0.667 0.333 0.262
As 0.333 0.667 0.267
As 0.667 0.333 0.733

***

8.
The following is a computed X-ray diffraction stick pattern of ZrAlZnIn. It was derived from the GGA-PBE geometry in Alexandria, using Cu Ka.

Principal peaks in the range 2θ from 5° to 70°, by angle:
- 21.3 deg, rel. 13.9
- 29.8 deg, rel. 12.0
- 37.0 deg, rel. 100.0
- 42.0 deg, rel. 17.3
- 43.3 deg, rel. 15.8
- 43.5 deg, rel. 15.6

Cell: 4.163 4.180 4.299 Å, 90.00 90.00 90.00°
Fractional coordinates of all 4 atoms:
Zr 0.000 0.000 0.000
Al 0.500 0.500 0.000
Zn 0.500 0.000 0.500
In 0.000 0.500 0.500

***

9.
The following is a computed X-ray diffraction stick pattern of Ca5GeN6. It was derived from the GGA-PBE geometry in Alexandria, using Cu Ka.

Principal peaks in the range 2θ from 5° to 70°, by angle:
- 30.8 deg, rel. 19.8
- 31.8 deg, rel. 35.2
- 33.2 deg, rel. 16.2
- 37.0 deg, rel. 100.0
- 51.7 deg, rel. 21.5
- 54.9 deg, rel. 16.7

Cell: 5.929 5.929 6.176 Å, 99.41 99.41 122.11°
Fractional coordinates of all 12 atoms:
Ca 0.000 0.000 0.000
Ca 0.167 0.833 0.500
Ca 0.327 0.673 0.000
Ca 0.673 0.327 0.000
Ca 0.833 0.167 0.500
Ge 0.500 0.500 0.500
N 0.114 0.422 0.261
N 0.314 0.314 0.711
N 0.422 0.114 0.261
N 0.578 0.886 0.739
N 0.686 0.686 0.289
N 0.886 0.578 0.739